(1)
For Sr4Zr4O11, the GGA-PBE geometry in OQMD gives the theoretical PXRD pattern in this record (Cu Kα (λ = 1.5418 Å)).
No peak broadening, texture or thermal motion is included.

Structure:
Unit cell a=5.808 b=5.844 c=8.239 alpha=89.84 beta=89.99 gamma=89.71
Fractional coordinates of all 19 atoms:
Sr (0.000, 0.000, 0.000)
Sr (0.007, 0.055, 0.500)
Sr (0.498, 0.560, 0.502)
Sr (0.512, 0.495, 0.007)
Zr (0.003, 0.528, 0.753)
Zr (0.006, 0.527, 0.252)
Zr (0.504, 0.027, 0.754)
Zr (0.504, 0.028, 0.253)
O (0.083, 0.546, 0.003)
O (0.218, 0.815, 0.294)
O (0.221, 0.804, 0.711)
O (0.296, 0.318, 0.294)
O (0.427, 0.048, 0.004)
O (0.576, 0.012, 0.506)
O (0.714, 0.737, 0.799)
O (0.717, 0.740, 0.217)
O (0.782, 0.243, 0.792)
O (0.795, 0.238, 0.213)
O (0.934, 0.503, 0.505)

Peak list (10 most intense, 10 to 80 degrees two-theta, most intense first)
- 2θ 30.75, rel. 100
- 2θ 30.63, rel. 96
- 2θ 54.61, rel. 43
- 2θ 43.96, rel. 20
- 2θ 54.44, rel. 19
- 2θ 43.84, rel. 19
- 2θ 44.08, rel. 18
- 2θ 54.76, rel. 14
- 2θ 72.59, rel. 13
- 2θ 63.93, rel. 11

=====

(2)
For Ta2O5, the GGA-PBE geometry in OQMD gives the theoretical PXRD pattern in this record (Cu Kα (λ = 1.5418 Å)).
No peak broadening, texture or thermal motion is included.

Structure:
Unit cell a=6.191 b=3.854 c=7.303 alpha=90.00 beta=90.01 gamma=90.00
Fractional coordinates of all 14 atoms:
Ta (0.000, 0.000, 0.000)
Ta (0.001, 0.000, 0.500)
Ta (0.464, 0.000, 0.250)
Ta (0.536, 0.000, 0.750)
O (0.005, 0.500, 0.998)
O (0.006, 0.500, 0.503)
O (0.124, 0.000, 0.250)
O (0.317, 0.000, 0.939)
O (0.318, 0.000, 0.560)
O (0.434, 0.500, 0.250)
O (0.570, 0.500, 0.750)
O (0.689, 0.000, 0.064)
O (0.690, 0.000, 0.435)
O (0.877, 0.000, 0.750)

Peak list (10 most intense, 10 to 80 degrees two-theta, most intense first)
- 2θ 28.38, rel. 100
- 2θ 23.08, rel. 89
- 2θ 36.89, rel. 68
- 2θ 28.84, rel. 43
- 2θ 37.26, rel. 31
- 2θ 55.96, rel. 30
- 2θ 56.51, rel. 24
- 2θ 50.82, rel. 20
- 2θ 47.16, rel. 18
- 2θ 63.93, rel. 17

=====

(3)
For Ta2Te2O9, the GGA-PBE geometry in OQMD gives the theoretical PXRD pattern in this record (Cu Kα (λ = 1.5418 Å)).
No peak broadening, texture or thermal motion is included.

Structure:
Unit cell a=7.048 b=7.421 c=14.700 alpha=90.00 beta=103.07 gamma=90.00
Fractional coordinates of all 52 atoms:
Ta (0.061, 0.203, 0.434)
Ta (0.061, 0.297, 0.934)
Ta (0.371, 0.002, 0.101)
Ta (0.371, 0.498, 0.601)
Ta (0.629, 0.502, 0.399)
Ta (0.629, 0.998, 0.899)
Ta (0.939, 0.703, 0.066)
Ta (0.939, 0.797, 0.566)
Te (0.119, 0.650, 0.315)
Te (0.119, 0.850, 0.815)
Te (0.468, 0.053, 0.335)
Te (0.468, 0.447, 0.835)
Te (0.532, 0.553, 0.165)
Te (0.532, 0.947, 0.665)
Te (0.881, 0.150, 0.185)
Te (0.881, 0.350, 0.685)
O (0.000, 0.000, 0.500)
O (0.000, 0.500, 0.000)
O (0.093, 0.588, 0.188)
O (0.093, 0.912, 0.688)
O (0.118, 0.090, 0.857)
O (0.118, 0.410, 0.357)
O (0.177, 0.674, 0.550)
O (0.177, 0.826, 0.050)
O (0.208, 0.202, 0.051)
O (0.208, 0.298, 0.551)
O (0.270, 0.038, 0.223)
O (0.270, 0.462, 0.723)
O (0.296, 0.058, 0.417)
O (0.296, 0.442, 0.917)
O (0.397, 0.673, 0.334)
O (0.397, 0.827, 0.834)
O (0.473, 0.193, 0.824)
O (0.473, 0.307, 0.324)
O (0.500, 0.000, 0.000)
O (0.500, 0.500, 0.500)
O (0.527, 0.693, 0.676)
O (0.527, 0.807, 0.176)
O (0.603, 0.173, 0.166)
O (0.603, 0.327, 0.666)
O (0.704, 0.558, 0.083)
O (0.704, 0.942, 0.583)
O (0.730, 0.538, 0.277)
O (0.730, 0.962, 0.777)
O (0.792, 0.702, 0.449)
O (0.792, 0.798, 0.949)
O (0.823, 0.174, 0.950)
O (0.823, 0.326, 0.450)
O (0.882, 0.590, 0.643)
O (0.882, 0.910, 0.143)
O (0.907, 0.088, 0.312)
O (0.907, 0.412, 0.812)

Peak list (10 most intense, 10 to 80 degrees two-theta, most intense first)
- 2θ 28.05, rel. 100
- 2θ 27.32, rel. 99
- 2θ 24.81, rel. 70
- 2θ 27.79, rel. 61
- 2θ 28.81, rel. 48
- 2θ 31.33, rel. 46
- 2θ 27.67, rel. 33
- 2θ 19.80, rel. 33
- 2θ 25.32, rel. 31
- 2θ 19.62, rel. 30

=====

(4)
For TaTe2O4, the GGA-PBE geometry in OQMD gives the theoretical PXRD pattern in this record (Cu Kα (λ = 1.5418 Å)).
No peak broadening, texture or thermal motion is included.

Structure:
Unit cell a=7.017 b=7.017 c=7.017 alpha=60.00 beta=60.00 gamma=60.00
Fractional coordinates of all 14 atoms:
Ta (0.125, 0.125, 0.125)
Ta (0.875, 0.875, 0.875)
Te (0.000, 0.500, 0.500)
Te (0.500, 0.000, 0.500)
Te (0.500, 0.500, 0.000)
Te (0.500, 0.500, 0.500)
O (0.201, 0.766, 0.766)
O (0.234, 0.234, 0.234)
O (0.234, 0.234, 0.799)
O (0.234, 0.799, 0.234)
O (0.766, 0.201, 0.766)
O (0.766, 0.766, 0.201)
O (0.766, 0.766, 0.766)
O (0.799, 0.234, 0.234)

Peak list (10 most intense, 10 to 80 degrees two-theta, most intense first)
- 2θ 29.86, rel. 100
- 2θ 25.38, rel. 38
- 2θ 52.13, rel. 37
- 2θ 47.61, rel. 34
- 2θ 73.26, rel. 24
- 2θ 44.74, rel. 16
- 2θ 31.22, rel. 15
- 2θ 61.25, rel. 13
- 2θ 71.09, rel. 9
- 2θ 62.03, rel. 8

=====

(5)
For TaTlO3, the GGA-PBE geometry in OQMD gives the theoretical PXRD pattern in this record (Cu Kα (λ = 1.5418 Å)).
No peak broadening, texture or thermal motion is included.

Structure:
Unit cell a=5.379 b=5.379 c=13.508 alpha=90.00 beta=90.00 gamma=120.00
Fractional coordinates of all 20 atoms:
Ta (0.000, 0.000, 0.250)
Ta (0.000, 0.000, 0.750)
Ta (0.333, 0.667, 0.250)
Ta (0.667, 0.333, 0.750)
Tl (0.333, 0.667, 0.558)
Tl (0.333, 0.667, 0.942)
Tl (0.667, 0.333, 0.058)
Tl (0.667, 0.333, 0.442)
O (0.061, 0.333, 0.167)
O (0.061, 0.728, 0.333)
O (0.272, 0.333, 0.333)
O (0.272, 0.939, 0.167)
O (0.333, 0.061, 0.667)
O (0.333, 0.272, 0.833)
O (0.667, 0.728, 0.167)
O (0.667, 0.939, 0.333)
O (0.728, 0.061, 0.833)
O (0.728, 0.667, 0.667)
O (0.939, 0.272, 0.667)
O (0.939, 0.667, 0.833)

Peak list (10 most intense, 10 to 80 degrees two-theta, most intense first)
- 2θ 27.55, rel. 100
- 2θ 33.31, rel. 73
- 2θ 23.20, rel. 43
- 2θ 53.05, rel. 31
- 2θ 43.76, rel. 29
- 2θ 56.09, rel. 29
- 2θ 42.99, rel. 27
- 2θ 59.53, rel. 18
- 2θ 79.38, rel. 12
- 2θ 76.75, rel. 12

=====

(6)
For Y3TaO7, the GGA-PBE geometry in OQMD gives the theoretical PXRD pattern in this record (Cu Kα (λ = 1.5418 Å)).
No peak broadening, texture or thermal motion is included.

Structure:
Unit cell a=6.416 b=6.416 c=7.478 alpha=90.00 beta=90.00 gamma=109.58
Fractional coordinates of all 22 atoms:
Y (0.000, 0.000, 0.000)
Y (0.000, 0.000, 0.500)
Y (0.035, 0.500, 0.750)
Y (0.500, 0.035, 0.250)
Y (0.500, 0.965, 0.750)
Y (0.965, 0.500, 0.250)
Ta (0.500, 0.500, 0.000)
Ta (0.500, 0.500, 0.500)
O (0.129, 0.871, 0.250)
O (0.137, 0.863, 0.750)
O (0.177, 0.427, 0.033)
O (0.177, 0.427, 0.467)
O (0.427, 0.177, 0.533)
O (0.427, 0.177, 0.967)
O (0.433, 0.567, 0.750)
O (0.567, 0.433, 0.250)
O (0.573, 0.823, 0.033)
O (0.573, 0.823, 0.467)
O (0.823, 0.573, 0.533)
O (0.823, 0.573, 0.967)
O (0.863, 0.137, 0.250)
O (0.871, 0.129, 0.750)

Peak list (10 most intense, 10 to 80 degrees two-theta, most intense first)
- 2θ 29.56, rel. 100
- 2θ 29.34, rel. 97
- 2θ 49.08, rel. 60
- 2θ 34.10, rel. 40
- 2θ 58.35, rel. 37
- 2θ 58.01, rel. 29
- 2θ 14.65, rel. 24
- 2θ 34.21, rel. 18
- 2θ 48.71, rel. 17
- 2θ 49.27, rel. 14

=====

(7)
For Ta2ZnO6, the GGA-PBE geometry in OQMD gives the theoretical PXRD pattern in this record (Cu Kα (λ = 1.5418 Å)).
No peak broadening, texture or thermal motion is included.

Structure:
Unit cell a=4.703 b=17.125 c=5.073 alpha=90.00 beta=90.00 gamma=90.00
Fractional coordinates of all 36 atoms:
Ta (0.000, 0.056, 0.250)
Ta (0.000, 0.280, 0.750)
Ta (0.000, 0.720, 0.250)
Ta (0.000, 0.944, 0.750)
Ta (0.500, 0.220, 0.250)
Ta (0.500, 0.444, 0.750)
Ta (0.500, 0.556, 0.250)
Ta (0.500, 0.780, 0.750)
Zn (0.000, 0.397, 0.250)
Zn (0.000, 0.603, 0.750)
Zn (0.500, 0.103, 0.750)
Zn (0.500, 0.897, 0.250)
O (0.221, 0.035, 0.572)
O (0.221, 0.965, 0.072)
O (0.232, 0.371, 0.598)
O (0.232, 0.629, 0.098)
O (0.239, 0.291, 0.075)
O (0.239, 0.709, 0.575)
O (0.261, 0.209, 0.575)
O (0.261, 0.791, 0.075)
O (0.268, 0.129, 0.098)
O (0.268, 0.871, 0.598)
O (0.279, 0.465, 0.072)
O (0.279, 0.535, 0.572)
O (0.721, 0.465, 0.428)
O (0.721, 0.535, 0.928)
O (0.732, 0.129, 0.402)
O (0.732, 0.871, 0.902)
O (0.739, 0.209, 0.925)
O (0.739, 0.791, 0.425)
O (0.761, 0.291, 0.425)
O (0.761, 0.709, 0.925)
O (0.768, 0.371, 0.902)
O (0.768, 0.629, 0.402)
O (0.779, 0.035, 0.928)
O (0.779, 0.965, 0.428)

Peak list (10 most intense, 10 to 80 degrees two-theta, most intense first)
- 2θ 30.28, rel. 100
- 2θ 24.52, rel. 30
- 2θ 64.32, rel. 28
- 2θ 53.63, rel. 24
- 2θ 36.11, rel. 23
- 2θ 35.39, rel. 17
- 2θ 53.11, rel. 17
- 2θ 51.83, rel. 15
- 2θ 60.39, rel. 15
- 2θ 20.35, rel. 13

=====

(8)
For Tb2O3, the GGA-PBE geometry in OQMD gives the theoretical PXRD pattern in this record (Cu Kα (λ = 1.5418 Å)).
No peak broadening, texture or thermal motion is included.

Structure:
Unit cell a=9.233 b=9.233 c=9.233 alpha=109.47 beta=109.47 gamma=109.47
Fractional coordinates of all 40 atoms:
Tb (0.000, 0.000, 0.500)
Tb (0.000, 0.500, 0.000)
Tb (0.032, 0.750, 0.782)
Tb (0.218, 0.968, 0.250)
Tb (0.250, 0.218, 0.968)
Tb (0.250, 0.718, 0.468)
Tb (0.282, 0.532, 0.750)
Tb (0.468, 0.250, 0.718)
Tb (0.500, 0.000, 0.000)
Tb (0.500, 0.500, 0.500)
Tb (0.532, 0.750, 0.282)
Tb (0.718, 0.468, 0.250)
Tb (0.750, 0.282, 0.532)
Tb (0.750, 0.782, 0.032)
Tb (0.782, 0.032, 0.750)
Tb (0.968, 0.250, 0.218)
O (0.012, 0.042, 0.272)
O (0.030, 0.488, 0.760)
O (0.042, 0.272, 0.012)
O (0.228, 0.270, 0.740)
O (0.230, 0.458, 0.470)
O (0.240, 0.970, 0.512)
O (0.260, 0.772, 0.730)
O (0.270, 0.740, 0.228)
O (0.272, 0.012, 0.042)
O (0.458, 0.470, 0.230)
O (0.470, 0.230, 0.458)
O (0.488, 0.760, 0.030)
O (0.512, 0.240, 0.970)
O (0.530, 0.770, 0.542)
O (0.542, 0.530, 0.770)
O (0.728, 0.988, 0.958)
O (0.730, 0.260, 0.772)
O (0.740, 0.228, 0.270)
O (0.760, 0.030, 0.488)
O (0.770, 0.542, 0.530)
O (0.772, 0.730, 0.260)
O (0.958, 0.728, 0.988)
O (0.970, 0.512, 0.240)
O (0.988, 0.958, 0.728)

Peak list (10 most intense, 10 to 80 degrees two-theta, most intense first)
- 2θ 29.01, rel. 100
- 2θ 48.29, rel. 39
- 2θ 33.63, rel. 35
- 2θ 57.33, rel. 32
- 2θ 20.40, rel. 10
- 2θ 78.16, rel. 9
- 2θ 43.27, rel. 8
- 2θ 60.13, rel. 7
- 2θ 58.74, rel. 6
- 2θ 35.73, rel. 6